Entry 1:
Structure and computed XRD peak list of Cu2HgTe4Ir (DFT lattice parameters and positions (PBE); copper Kα).
Lines closer than 0.1° are merged.

Principal peaks in the range 10° ≤ 2θ ≤ 80°, sorted by position:
two_theta, d (Å), I_rel
20.45, 4.344, 11.0
25.27, 3.524, 100.0
32.72, 2.737, 10.3
41.58, 2.172, 24.9
41.99, 2.152, 49.1
49.28, 1.849, 30.1
50.00, 1.824, 15.8
60.26, 1.536, 7.4
67.00, 1.397, 11.3
76.16, 1.250, 13.7

Cell and atoms:
abc: 6.143 6.143 12.060
angles: 90.00 90.00 90.00
Space group I-42m (No. 121)
One atom of each set of equivalent atoms:
Cu 0.000 0.500 0.250 [4 per cell]
Hg 0.000 0.000 0.000 [2 per cell]
Te 0.224 0.224 0.363 [8 per cell]
Ir 0.000 0.000 0.500 [2 per cell]

***

Entry 2:
Structure and computed XRD peak list of DyHo2Sc3CuTe2 (DFT lattice parameters and positions (PBE); copper Kα).
Lines closer than 0.1° are merged.

Principal peaks in the range 10° ≤ 2θ ≤ 80°, sorted by position:
two_theta, d (Å), I_rel
22.28, 3.990, 29.6
31.86, 2.809, 100.0
34.33, 2.612, 28.0
34.47, 2.602, 59.2
39.10, 2.304, 35.5
41.43, 2.180, 18.7
45.90, 1.977, 16.6
61.84, 1.500, 18.2
63.18, 1.472, 21.3
72.40, 1.305, 16.6

Cell and atoms:
abc: 3.954 13.823 7.980
angles: 90.00 90.00 90.00
Space group Amm2 (No. 38)
One atom of each set of equivalent atoms:
Dy 0.000 0.000 0.000 [2 per cell]
Ho 0.000 0.198 0.593 [4 per cell]
Sc 0.500 0.000 0.632 [2 per cell]
Sc 0.500 0.118 0.277 [4 per cell]
Cu 0.000 0.000 0.396 [2 per cell]
Te 0.500 0.167 0.896 [4 per cell]